(1)
Starting from a GGA-PBE-relaxed structure, the X-ray powder pattern of Zn13Pd2 was computed for Cu Kα, 1.54184 Å.

Cell and atoms:
```
data_Zn13Pd2
_chemical_formula_sum 'Zn13 Pd2'
_cell_length_a 5.323
_cell_length_b 5.324
_cell_length_c 8.747
_cell_angle_alpha 103.46
_cell_angle_beta 103.55
_cell_angle_gamma 102.36
_space_group_name_H-M_alt 'P -1'
_space_group_IT_number 2
_space_group_name_Hall '-P 1'
loop_
_atom_site_label
_atom_site_type_symbol
_atom_site_fract_x
_atom_site_fract_y
_atom_site_fract_z
Zn1 Zn 0.000 0.000 0.000
Zn2 Zn 0.065 0.538 0.871
Zn3 Zn 0.143 0.143 0.651
Zn4 Zn 0.214 0.643 0.621
Zn5 Zn 0.357 0.786 0.379
Zn6 Zn 0.430 0.430 0.121
Zn7 Zn 0.463 0.935 0.129
Pd1 Pd 0.259 0.259 0.360
```

Main lines, in order of rising 2θ (2θ = 10–90°):
| two_theta | d (Å) | I (rel.) |
| --- | --- | --- |
| 32.6 | 2.745 | 14.1 |
| 38.9 | 2.313 | 16.4 |
| 39.8 | 2.266 | 12.5 |
| 41.1 | 2.197 | 100.0 |
| 41.4 | 2.182 | 71.1 |
| 42.5 | 2.128 | 30.1 |
| 43.6 | 2.074 | 40.8 |
| 44.7 | 2.029 | 33.4 |
| 45.2 | 2.004 | 20.6 |
| 64.2 | 1.450 | 16.5 |


(2)
Starting from a GGA-PBE-relaxed structure, the X-ray powder pattern of Zn5Pd3 was computed for Cu Kα, 1.54184 Å.

Cell and atoms:
```
data_Zn5Pd3
_chemical_formula_sum 'Zn20 Pd12'
_cell_length_a 5.597
_cell_length_b 7.523
_cell_length_c 11.035
_cell_angle_alpha 90.00
_cell_angle_beta 90.00
_cell_angle_gamma 90.00
_space_group_name_H-M_alt 'F m m m'
_space_group_IT_number 69
_space_group_name_Hall '-F 2 2'
loop_
_atom_site_label
_atom_site_type_symbol
_atom_site_fract_x
_atom_site_fract_y
_atom_site_fract_z
Zn1 Zn 0.000 0.000 0.000
Zn2 Zn 0.250 0.250 0.126
Pd1 Pd 0.000 0.000 0.242
Pd2 Pd 0.000 0.000 0.500
```

Main lines, in order of rising 2θ (2θ = 10–90°):
| two_theta | d (Å) | I (rel.) |
| --- | --- | --- |
| 40.2 | 2.245 | 100.0 |
| 40.6 | 2.225 | 95.8 |
| 46.2 | 1.965 | 65.2 |
| 48.4 | 1.881 | 28.7 |
| 66.9 | 1.399 | 10.4 |
| 69.1 | 1.359 | 37.1 |
| 81.2 | 1.184 | 23.3 |
| 82.0 | 1.175 | 21.9 |
| 84.7 | 1.144 | 10.7 |
| 85.0 | 1.141 | 10.4 |


(3)
Starting from a GGA-PBE-relaxed structure, the X-ray powder pattern of Zn8Pd3 was computed for Cu Kα, 1.54184 Å.

Cell and atoms:
```
data_Zn8Pd3
_chemical_formula_sum 'Zn16 Pd6'
_cell_length_a 8.988
_cell_length_b 3.713
_cell_length_c 9.762
_cell_angle_alpha 90.00
_cell_angle_beta 102.05
_cell_angle_gamma 90.00
_space_group_name_H-M_alt 'C 1 2/m 1'
_space_group_IT_number 12
_space_group_name_Hall '-C 2y'
loop_
_atom_site_label
_atom_site_type_symbol
_atom_site_fract_x
_atom_site_fract_y
_atom_site_fract_z
Zn1 Zn 0.045 0.000 0.320
Zn2 Zn 0.131 0.000 0.956
Zn3 Zn 0.179 0.500 0.775
Zn4 Zn 0.227 0.000 0.591
Pd1 Pd 0.000 0.500 0.500
Pd2 Pd 0.099 0.500 0.145
```

Main lines, in order of rising 2θ (2θ = 10–90°):
| two_theta | d (Å) | I (rel.) |
| --- | --- | --- |
| 40.2 | 2.241 | 100.0 |
| 40.7 | 2.219 | 97.8 |
| 44.2 | 2.050 | 37.7 |
| 47.8 | 1.902 | 30.0 |
| 49.1 | 1.857 | 28.2 |
| 68.1 | 1.376 | 19.5 |
| 70.9 | 1.329 | 17.4 |
| 78.3 | 1.221 | 12.7 |
| 79.1 | 1.210 | 12.3 |
| 83.6 | 1.156 | 10.6 |


(4)
Starting from a GGA-PBE-relaxed structure, the X-ray powder pattern of Zn7Pd3 was computed for Cu Kα, 1.54184 Å.

Cell and atoms:
```
data_Zn7Pd3
_chemical_formula_sum 'Zn14 Pd6'
_cell_length_a 14.104
_cell_length_b 3.887
_cell_length_c 5.423
_cell_angle_alpha 90.00
_cell_angle_beta 102.48
_cell_angle_gamma 90.00
_space_group_name_H-M_alt 'C 1 2/m 1'
_space_group_IT_number 12
_space_group_name_Hall '-C 2y'
loop_
_atom_site_label
_atom_site_type_symbol
_atom_site_fract_x
_atom_site_fract_y
_atom_site_fract_z
Zn1 Zn 0.000 0.000 0.000
Zn2 Zn 0.099 0.500 0.306
Zn3 Zn 0.106 0.500 0.806
Zn4 Zn 0.202 0.000 0.616
Pd1 Pd 0.000 0.000 0.500
Pd2 Pd 0.191 0.000 0.113
```

Main lines, in order of rising 2θ (2θ = 10–90°):
| two_theta | d (Å) | I (rel.) |
| --- | --- | --- |
| 40.1 | 2.247 | 100.0 |
| 40.6 | 2.223 | 97.6 |
| 46.4 | 1.956 | 31.1 |
| 46.7 | 1.943 | 32.8 |
| 47.6 | 1.909 | 30.3 |
| 68.0 | 1.378 | 27.8 |
| 69.0 | 1.362 | 19.0 |
| 82.2 | 1.172 | 11.4 |
| 82.5 | 1.169 | 11.4 |
| 83.3 | 1.160 | 10.6 |


(5)
Starting from a GGA-PBE-relaxed structure, the X-ray powder pattern of ZnPd4 was computed for Cu Kα, 1.54184 Å.

Cell and atoms:
```
data_ZnPd4
_chemical_formula_sum 'Zn8 Pd32'
_cell_length_a 9.418
_cell_length_b 13.400
_cell_length_c 4.838
_cell_angle_alpha 90.00
_cell_angle_beta 90.00
_cell_angle_gamma 90.00
_space_group_name_H-M_alt 'F d d 2'
_space_group_IT_number 43
_space_group_name_Hall 'F 2 -2d'
loop_
_atom_site_label
_atom_site_type_symbol
_atom_site_fract_x
_atom_site_fract_y
_atom_site_fract_z
Zn1 Zn 0.000 0.000 0.000
Pd1 Pd 0.024 0.301 0.533
Pd2 Pd 0.031 0.402 0.021
```

Main lines, in order of rising 2θ (2θ = 10–90°):
| two_theta | d (Å) | I (rel.) |
| --- | --- | --- |
| 38.2 | 2.355 | 36.4 |
| 39.6 | 2.275 | 100.0 |
| 39.7 | 2.269 | 14.8 |
| 40.6 | 2.221 | 17.4 |
| 42.0 | 2.152 | 76.3 |
| 48.5 | 1.878 | 44.2 |
| 63.3 | 1.468 | 12.0 |
| 68.7 | 1.367 | 19.0 |
| 73.5 | 1.289 | 14.7 |
| 82.2 | 1.172 | 11.4 |


(6)
Starting from a GGA-PBE-relaxed structure, the X-ray powder pattern of ZnPd4 was computed for Cu Kα, 1.54184 Å.

Cell and atoms:
```
data_ZnPd4
_chemical_formula_sum 'Zn3 Pd12'
_cell_length_a 2.8100
_cell_length_b 2.8100
_cell_length_c 33.0309
_cell_angle_alpha 90.00
_cell_angle_beta 90.00
_cell_angle_gamma 120.00
_space_group_name_H-M_alt 'R -3 m'
_space_group_IT_number 166
_space_group_name_Hall '-R 3 2"'
loop_
_atom_site_label
_atom_site_type_symbol
_atom_site_fract_x
_atom_site_fract_y
_atom_site_fract_z
Zn1 Zn 0.0000 0.0000 0.0000
Pd1 Pd 0.0000 0.0000 0.2015
Pd2 Pd 0.0000 0.0000 0.3953
```

Main lines, in order of rising 2θ (2θ = 10–90°):
| two_theta | d (Å) | I (rel.) |
| --- | --- | --- |
| 32.5 | 2.753 | 3.6 |
| 39.5 | 2.284 | 100.0 |
| 41.0 | 2.202 | 27.5 |
| 46.3 | 1.959 | 60.7 |
| 66.6 | 1.405 | 20.8 |
| 68.7 | 1.367 | 15.9 |
| 80.2 | 1.197 | 12.0 |
| 81.2 | 1.184 | 21.4 |
| 83.2 | 1.161 | 8.5 |
| 84.9 | 1.142 | 10.1 |


(7)
Starting from a GGA-PBE-relaxed structure, the X-ray powder pattern of Zr3Zn4Pd2 was computed for Cu Kα, 1.54184 Å.

Cell and atoms:
```
data_Zr3Zn4Pd2
_chemical_formula_sum 'Zr12 Zn16 Pd8'
_cell_length_a 7.875
_cell_length_b 13.725
_cell_length_c 5.687
_cell_angle_alpha 90.00
_cell_angle_beta 90.00
_cell_angle_gamma 90.00
_space_group_name_H-M_alt 'C c c m'
_space_group_IT_number 66
_space_group_name_Hall '-C 2 2c'
loop_
_atom_site_label
_atom_site_type_symbol
_atom_site_fract_x
_atom_site_fract_y
_atom_site_fract_z
Zr1 Zr 0.000 0.000 0.250
Zr2 Zr 0.000 0.328 0.250
Zn1 Zn 0.162 0.498 0.000
Zn2 Zn 0.171 0.166 0.000
Pd1 Pd 0.165 0.161 0.500
```

Main lines, in order of rising 2θ (2θ = 10–90°):
| two_theta | d (Å) | I (rel.) |
| --- | --- | --- |
| 39.0 | 2.308 | 100.0 |
| 39.4 | 2.287 | 34.6 |
| 39.6 | 2.277 | 69.3 |
| 56.7 | 1.624 | 20.8 |
| 56.9 | 1.619 | 11.2 |
| 71.2 | 1.325 | 10.2 |
| 71.4 | 1.321 | 10.7 |
| 71.5 | 1.319 | 20.6 |
| 79.3 | 1.208 | 8.4 |
| 79.5 | 1.206 | 16.7 |


(8)
Starting from a GGA-PBE-relaxed structure, the X-ray powder pattern of Zr6Zn3Pd was computed for Cu Kα, 1.54184 Å.

Cell and atoms:
```
data_Zr6Zn3Pd
_chemical_formula_sum 'Zr12 Zn6 Pd2'
_cell_length_a 8.283
_cell_length_b 10.514
_cell_length_c 4.732
_cell_angle_alpha 90.00
_cell_angle_beta 90.00
_cell_angle_gamma 90.00
_space_group_name_H-M_alt 'P n n m'
_space_group_IT_number 58
_space_group_name_Hall '-P 2 2n'
loop_
_atom_site_label
_atom_site_type_symbol
_atom_site_fract_x
_atom_site_fract_y
_atom_site_fract_z
Zr1 Zr 0.001 0.245 0.000
Zr2 Zr 0.157 0.595 0.500
Zr3 Zr 0.176 0.913 0.500
Zn1 Zn 0.000 0.500 0.000
Zn2 Zn 0.169 0.258 0.500
Pd1 Pd 0.000 0.000 0.000
```

Main lines, in order of rising 2θ (2θ = 10–90°):
| two_theta | d (Å) | I (rel.) |
| --- | --- | --- |
| 33.5 | 2.675 | 34.9 |
| 33.6 | 2.666 | 70.3 |
| 37.7 | 2.385 | 100.0 |
| 38.0 | 2.366 | 49.6 |
| 40.7 | 2.219 | 17.7 |
| 40.8 | 2.214 | 36.6 |
| 51.6 | 1.772 | 20.0 |
| 56.9 | 1.619 | 12.8 |
| 66.2 | 1.412 | 12.2 |
| 68.5 | 1.370 | 16.3 |


(9)
Starting from a GGA-PBE-relaxed structure, the X-ray powder pattern of Zr3Zn7Pd2 was computed for Cu Kα, 1.54184 Å.

Cell and atoms:
```
data_Zr3Zn7Pd2
_chemical_formula_sum 'Zr9 Zn21 Pd6'
_cell_length_a 5.2040
_cell_length_b 5.2040
_cell_length_c 25.5310
_cell_angle_alpha 90.00
_cell_angle_beta 90.00
_cell_angle_gamma 120.00
_space_group_name_H-M_alt 'R -3 m'
_space_group_IT_number 166
_space_group_name_Hall '-R 3 2"'
loop_
_atom_site_label
_atom_site_type_symbol
_atom_site_fract_x
_atom_site_fract_y
_atom_site_fract_z
Zr1 Zr 0.0000 0.0000 0.0000
Zr2 Zr 0.0000 0.0000 0.1448
Zn1 Zn 0.0000 0.0000 0.5000
Zn2 Zn 0.0051 0.5025 0.9158
Pd1 Pd 0.0000 0.0000 0.3345
```

Main lines, in order of rising 2θ (2θ = 10–90°):
| two_theta | d (Å) | I (rel.) |
| --- | --- | --- |
| 31.6 | 2.836 | 11.9 |
| 34.5 | 2.603 | 40.3 |
| 40.2 | 2.245 | 17.2 |
| 40.6 | 2.220 | 100.0 |
| 42.5 | 2.127 | 30.0 |
| 43.9 | 2.062 | 30.5 |
| 47.4 | 1.917 | 8.9 |
| 65.9 | 1.417 | 27.2 |
| 72.7 | 1.301 | 19.0 |
| 88.0 | 1.110 | 13.4 |


(10)
Starting from a GGA-PBE-relaxed structure, the X-ray powder pattern of Zr2Zn16Pd was computed for Cu Kα, 1.54184 Å.

Cell and atoms:
```
data_Zr2Zn16Pd
_chemical_formula_sum 'Zr6 Zn48 Pd3'
_cell_length_a 8.8058
_cell_length_b 8.8058
_cell_length_c 12.9714
_cell_angle_alpha 90.00
_cell_angle_beta 90.00
_cell_angle_gamma 120.00
_space_group_name_H-M_alt 'R 3 m'
_space_group_IT_number 160
_space_group_name_Hall 'R 3 -2"'
loop_
_atom_site_label
_atom_site_type_symbol
_atom_site_fract_x
_atom_site_fract_y
_atom_site_fract_z
Zr1 Zr 0.0000 0.0000 0.0000
Zr2 Zr 0.0000 0.0000 0.3294
Zn1 Zn 0.0000 0.0000 0.7700
Zn2 Zn 0.9996 0.2979 0.6628
Zn3 Zn 0.0012 0.5006 0.1635
Zn4 Zn 0.0062 0.5031 0.8126
Zn5 Zn 0.1751 0.3502 0.8472
Pd1 Pd 0.0000 0.0000 0.5651
```

Main lines, in order of rising 2θ (2θ = 10–90°):
| two_theta | d (Å) | I (rel.) |
| --- | --- | --- |
| 35.3 | 2.542 | 41.9 |
| 36.4 | 2.470 | 32.8 |
| 41.0 | 2.201 | 68.2 |
| 41.2 | 2.191 | 100.0 |
| 41.8 | 2.162 | 34.4 |
| 42.1 | 2.145 | 31.4 |
| 46.3 | 1.962 | 64.7 |
| 46.8 | 1.941 | 15.8 |
| 74.7 | 1.271 | 27.6 |
| 75.9 | 1.254 | 22.4 |


(11)
Starting from a GGA-PBE-relaxed structure, the X-ray powder pattern of Zr2ZnPd4 was computed for Cu Kα, 1.54184 Å.

Cell and atoms:
```
data_Zr2ZnPd4
_chemical_formula_sum 'Zr4 Zn2 Pd8'
_cell_length_a 5.955
_cell_length_b 5.243
_cell_length_c 8.400
_cell_angle_alpha 90.00
_cell_angle_beta 110.35
_cell_angle_gamma 90.00
_space_group_name_H-M_alt 'P 1 21/m 1'
_space_group_IT_number 11
_space_group_name_Hall '-P 2yb'
loop_
_atom_site_label
_atom_site_type_symbol
_atom_site_fract_x
_atom_site_fract_y
_atom_site_fract_z
Zr1 Zr 0.104 0.250 0.418
Zr2 Zr 0.292 0.750 0.010
Zn1 Zn 0.051 0.250 0.813
Pd1 Pd 0.220 0.250 0.139
Pd2 Pd 0.345 0.750 0.428
Pd3 Pd 0.355 0.505 0.720
```

Main lines, in order of rising 2θ (2θ = 10–90°):
| two_theta | d (Å) | I (rel.) |
| --- | --- | --- |
| 32.2 | 2.777 | 19.5 |
| 36.5 | 2.465 | 85.8 |
| 36.6 | 2.454 | 100.0 |
| 37.9 | 2.372 | 51.4 |
| 41.4 | 2.182 | 95.9 |
| 42.9 | 2.110 | 41.2 |
| 43.1 | 2.100 | 23.9 |
| 46.1 | 1.968 | 42.6 |
| 62.8 | 1.479 | 19.7 |
| 72.9 | 1.298 | 22.7 |


(12)
Starting from a GGA-PBE-relaxed structure, the X-ray powder pattern of Zr3Pd8 was computed for Cu Kα, 1.54184 Å.

Cell and atoms:
```
data_Zr3Pd8
_chemical_formula_sum 'Zr9 Pd24'
_cell_length_a 8.9333
_cell_length_b 8.9333
_cell_length_c 9.2404
_cell_angle_alpha 90.00
_cell_angle_beta 90.00
_cell_angle_gamma 120.00
_space_group_name_H-M_alt 'R -3'
_space_group_IT_number 148
_space_group_name_Hall '-R 3'
loop_
_atom_site_label
_atom_site_type_symbol
_atom_site_fract_x
_atom_site_fract_y
_atom_site_fract_z
Zr1 Zr 0.0000 0.5000 0.0000
Pd1 Pd 0.0000 0.0000 0.3581
Pd2 Pd 0.0257 0.2073 0.8895
```

Main lines, in order of rising 2θ (2θ = 10–90°):
| two_theta | d (Å) | I (rel.) |
| --- | --- | --- |
| 30.1 | 2.966 | 31.4 |
| 32.1 | 2.788 | 100.0 |
| 35.4 | 2.536 | 22.9 |
| 36.4 | 2.471 | 89.3 |
| 40.8 | 2.214 | 47.6 |
| 43.3 | 2.090 | 41.3 |
| 50.5 | 1.808 | 68.2 |
| 54.3 | 1.688 | 23.9 |
| 74.9 | 1.268 | 17.6 |
| 80.7 | 1.191 | 14.1 |


(13)
Starting from a GGA-PBE-relaxed structure, the X-ray powder pattern of ZrPd7 was computed for Cu Kα, 1.54184 Å.

Cell and atoms:
```
data_ZrPd7
_chemical_formula_sum 'Zr2 Pd14'
_cell_length_a 3.998
_cell_length_b 3.998
_cell_length_c 15.975
_cell_angle_alpha 90.00
_cell_angle_beta 90.00
_cell_angle_gamma 90.00
_space_group_name_H-M_alt 'I 4/m m m'
_space_group_IT_number 139
_space_group_name_Hall '-I 4 2'
loop_
_atom_site_label
_atom_site_type_symbol
_atom_site_fract_x
_atom_site_fract_y
_atom_site_fract_z
Zr1 Zr 0.000 0.000 0.000
Pd1 Pd 0.000 0.000 0.251
Pd2 Pd 0.000 0.000 0.500
Pd3 Pd 0.000 0.500 0.124
```

Main lines, in order of rising 2θ (2θ = 10–90°):
| two_theta | d (Å) | I (rel.) |
| --- | --- | --- |
| 39.0 | 2.308 | 100.0 |
| 45.4 | 1.998 | 48.5 |
| 66.1 | 1.413 | 30.7 |
| 79.5 | 1.205 | 36.0 |
| 83.9 | 1.154 | 10.5 |